Structure and computed X-ray powder pattern of Sb4S5Br (a DFT-relaxed cell (PBE, Alexandria); Cu Kα (weighted mean of Kα1 and Kα2)).

```
data_Sb4S5Br
_symmetry_space_group_name_H-M 'P m m n'
_symmetry_Int_Tables_number 59
_cell_length_a 8.522
_cell_length_b 9.168
_cell_length_c 7.530
_cell_angle_alpha 90.00
_cell_angle_beta 90.00
_cell_angle_gamma 90.00
loop_
_symmetry_equiv_pos_as_xyz
'x,y,z'
'-x,-y,-z'
'-x+1/2,-y+1/2,z'
'x+1/2,y+1/2,-z'
'x+1/2,-y,-z'
'-x+1/2,y,z'
'-x,y+1/2,-z'
'x,-y+1/2,z'
loop_
_atom_site_label
_atom_site_type_symbol
_atom_site_fract_x
_atom_site_fract_y
_atom_site_fract_z
Sb1 Sb 0.061 0.250 0.006
Sb2 Sb 0.250 0.533 0.637
S1 S 0.007 0.057 0.776
S2 S 0.250 0.750 0.886
Br1 Br 0.250 0.250 0.433
```

Most intense lines, 5° ≤ 2θ ≤ 70°, low angle first:
2θ (°)  I (rel.)
15.7  52.0
22.7  72.1
24.0  100.0
25.0  39.0
25.9  29.8
30.7  60.7
32.5  52.3
35.2  38.1
45.2  37.3
46.4  47.9

***

Structure and computed X-ray powder pattern of Ce3MnGa (a DFT-relaxed cell (PBE, Alexandria); Cu Kα (weighted mean of Kα1 and Kα2)).

```
data_Ce3MnGa
_symmetry_space_group_name_H-M 'P 1 2/c 1'
_symmetry_Int_Tables_number 13
_symmetry_space_group_name_Hall '-P 2yc'
_cell_length_a 6.882
_cell_length_b 6.233
_cell_length_c 10.774
_cell_angle_alpha 90.00
_cell_angle_beta 92.37
_cell_angle_gamma 90.00
loop_
_atom_site_label
_atom_site_type_symbol
_atom_site_fract_x
_atom_site_fract_y
_atom_site_fract_z
Ce1 Ce 0.111 0.242 0.411
Ce2 Ce 0.246 0.443 0.166
Ce3 Ce 0.376 0.224 0.929
Mn1 Mn 0.089 0.277 0.852
Ga1 Ga 0.229 0.051 0.669
```

Most intense lines, 5° ≤ 2θ ≤ 70°, low angle first:
2θ (°)  I (rel.)
21.1  26.9
30.5  34.7
31.1  100.0
33.3  67.4
35.3  64.5
35.5  81.8
36.0  61.0
42.2  39.9
43.6  45.3
61.6  28.8